Structure and calculated powder X-ray diffraction pattern of Li6VFe5O12 (a GGA+U-relaxed structure; a wavelength of 1.5418 Å).
Neutral-atom scattering factors, no anomalous dispersion.

Peak list (6 most intense, 2θ = 10–90°, sorted by position)
- 17.7°, rel. 100
- 35.4°, rel. 31
- 36.9°, rel. 18
- 42.6°, rel. 21
- 46.3°, rel. 23
- 62.6°, rel. 21

Atomic structure:
```
Li6VFe5O12
1.0
2.5700 -4.4579 0.0000
2.5700 4.4579 0.0000
-1.6136 0.0000 10.0492
Li V Fe O
6 1 5 12
Direct
0.0891 0.0891 0.2564
0.2376 0.5745 0.7435
0.4255 0.7624 0.2565
0.5744 0.2376 0.7435
0.7624 0.4256 0.2565
0.9109 0.9109 0.7436
0.4998 0.5002 0.5000
0.1665 0.8335 0.5000
0.3326 0.6674 0.0000
0.6655 0.3345 0.0000
0.8331 0.1669 0.5000
0.9990 0.0010 0.0000
0.0358 0.7041 0.1142
0.1302 0.4651 0.3878
0.2006 0.2011 0.6121
0.2959 0.9642 0.8858
0.3688 0.3706 0.1140
0.4646 0.1307 0.3878
0.5349 0.8698 0.6122
0.6294 0.6312 0.8860
0.7024 0.0375 0.1142
0.7989 0.7994 0.3879
0.8693 0.5354 0.6122
0.9625 0.2976 0.8858
```